Theoretical powder diffractogram
Compound: Li4Cu2Ni5O12
Radiation: Cu Kα (weighted mean of Kα1 and Kα2)
Structure: a structure optimized by DFT (PBE+U)
Intensities are scaled so that the largest is 100.

Top 10 peaks for 2θ = 10–90°, by angle:
- 2θ 18.66, I = 52, (0 0 2)
- 2θ 20.75, I = 34, (0 2 0)
- 2θ 20.99, I = 24, (1 1 -1)
- 2θ 22.82, I = 52, (1 1 1)
- 2θ 36.92, I = 19, (2 0 -2)
- 2θ 37.63, I = 35, (1 3 1)
- 2θ 41.26, I = 64, (2 0 2)
- 2θ 44.71, I = 100, (1 3 -3)
- 2θ 61.82, I = 30, (3 3 -1)
- 2θ 63.10, I = 33, (1 3 5)

Structure:
```
46
Lattice="5.302 0.000 0.000 0.000 8.562 0.000 -1.205 0.000 9.509" Properties=species:S:1:pos:R:3 pbc="T T T"
Li -0.285 0.000 2.289
Li -0.890 1.508 7.217
Li 1.411 0.094 0.113
Li 1.729 8.336 7.186
Li 2.368 4.056 2.322
Li 2.686 4.374 9.396
Li 4.988 5.789 2.292
Li 4.382 4.281 7.220
Cu 1.319 2.935 0.026
Cu 0.721 7.051 4.799
Cu 3.376 2.770 4.710
Cu 2.779 7.216 9.483
Ni -0.894 7.163 7.174
Ni 0.689 4.253 4.776
Ni 1.340 5.792 0.008
Ni 0.767 1.402 4.741
Ni 1.730 2.919 7.154
Ni 2.367 7.200 2.355
Ni 3.330 5.683 4.768
Ni 2.757 1.511 9.500
Ni 3.408 8.534 4.733
Ni 4.991 2.882 2.335
O -0.161 5.709 5.757
O 0.450 1.649 1.066
O -0.020 8.388 5.882
O 0.716 4.314 1.130
O 0.168 2.886 6.037
O 0.802 7.125 1.307
O 0.616 7.159 8.298
O 1.228 2.934 3.521
O 0.781 4.270 8.453
O 0.882 1.670 8.395
O 1.480 5.720 3.746
O 1.507 8.339 3.718
O 2.590 4.058 5.791
O 2.617 1.439 5.762
O 3.215 5.951 1.114
O 3.316 8.551 1.056
O 2.869 7.215 5.988
O 3.482 2.878 1.211
O 3.295 2.844 8.202
O 3.929 7.167 3.472
O 3.382 0.033 8.379
O 4.117 4.107 3.627
O 3.647 5.930 8.443
O 4.258 1.428 3.752
```